Entry 1:
The following is a computed powder XRD pattern of Sm3Sb. It was derived from a DFT-relaxed cell (GGA-PBE, Alexandria), using a wavelength of 1.5418 Å.
No peak broadening, texture or thermal motion is included.

Cell and atoms:
a b c (Å): 6.2140 6.2140 6.2140
angles (deg): 134.99 134.99 65.55
Fractional positions:
Sm 0.0000 0.0000 0.0000
Sm 0.2500 0.7500 0.5000
Sm 0.7500 0.2500 0.5000
Sb 0.5000 0.5000 0.0000

Top 8 peaks for 10° ≤ 2θ ≤ 80°, low angle first:
d [Å], 2θ (°), I/Imax
2.828, 31.64, 1000
2.612, 34.33, 201
2.378, 37.82, 309
1.759, 52.00, 247
1.682, 54.57, 107
1.547, 59.80, 162
1.446, 64.46, 257
1.414, 66.07, 120

=====

Entry 2:
The following is a computed powder XRD pattern of NaBrCl4. It was derived from a DFT-relaxed cell (GGA-PBE, Alexandria), using a wavelength of 1.5418 Å.
No peak broadening, texture or thermal motion is included.

Cell and atoms:
a b c (Å): 8.1153 8.1153 8.1153
angles (deg): 127.54 127.20 77.64
Fractional positions:
Na 0.2500 0.2500 0.0000
Na 0.7500 0.7500 0.0000
Br 0.0000 0.5000 0.5000
Br 0.5000 0.0000 0.5000
Cl 0.0348 0.5365 0.8386
Cl 0.1979 0.0365 0.5017
Cl 0.3021 0.8038 0.8386
Cl 0.4652 0.3038 0.5017
Cl 0.5348 0.6962 0.4983
Cl 0.6979 0.1962 0.1614
Cl 0.8021 0.9635 0.4983
Cl 0.9652 0.4635 0.1614

Top 8 peaks for 10° ≤ 2θ ≤ 80°, low angle first:
d [Å], 2θ (°), I/Imax
5.087, 17.43, 759
3.964, 22.43, 1000
3.126, 28.55, 387
3.115, 28.66, 373
2.558, 35.09, 431
2.544, 35.28, 308
2.378, 37.84, 373
2.372, 37.94, 381

=====

Entry 3:
The following is a computed powder XRD pattern of Y4TlZnO. It was derived from a DFT-relaxed cell (GGA-PBE, Alexandria), using a wavelength of 1.5418 Å.
No peak broadening, texture or thermal motion is included.

Cell and atoms:
a b c (Å): 8.5500 8.5500 6.5812
angles (deg): 90.00 90.00 134.86
Fractional positions:
Y 0.0000 0.5000 0.0000
Y 0.0000 0.5000 0.5000
Y 0.0683 0.9317 0.7500
Y 0.4187 0.5813 0.7500
Y 0.5000 0.0000 0.0000
Y 0.5000 0.0000 0.5000
Y 0.5813 0.4187 0.2500
Y 0.9317 0.0683 0.2500
Tl 0.3887 0.6113 0.2500
Tl 0.6113 0.3887 0.7500
Zn 0.1210 0.8790 0.2500
Zn 0.8790 0.1210 0.7500
O 0.2547 0.7453 0.7500
O 0.7453 0.2547 0.2500

Top 8 peaks for 10° ≤ 2θ ≤ 80°, low angle first:
d [Å], 2θ (°), I/Imax
3.286, 27.14, 368
3.034, 29.44, 695
2.632, 34.07, 277
2.612, 34.33, 315
2.526, 35.55, 1000
2.324, 38.75, 726
1.742, 52.54, 312
1.736, 52.73, 179

=====

Entry 4:
The following is a computed powder XRD pattern of Sm2TmIn3. It was derived from a DFT-relaxed cell (GGA-PBE, Alexandria), using a wavelength of 1.5418 Å.
No peak broadening, texture or thermal motion is included.

Cell and atoms:
a b c (Å): 8.4878 8.4878 7.5744
angles (deg): 90.00 90.00 143.15
Fractional positions:
Sm 0.0000 0.0000 0.0000
Sm 0.0000 0.0000 0.5000
Sm 0.3356 0.6644 0.0000
Sm 0.6644 0.3356 0.0000
Tm 0.3329 0.6671 0.5000
Tm 0.6671 0.3329 0.5000
In 0.1690 0.8306 0.2579
In 0.1694 0.8310 0.7421
In 0.4990 0.4990 0.2582
In 0.5010 0.5010 0.7418
In 0.8306 0.1690 0.2579
In 0.8310 0.1694 0.7421

Top 8 peaks for 10° ≤ 2θ ≤ 80°, low angle first:
d [Å], 2θ (°), I/Imax
3.792, 23.46, 24
2.682, 33.41, 1000
1.898, 47.94, 120
1.894, 48.05, 59
1.548, 59.73, 367
1.341, 70.18, 75
1.340, 70.23, 37
1.200, 79.95, 105